No. 1
Diffraction record for La3B9C2. The powder X-ray diffraction pattern is computed, not measured: it uses the GGA-PBE geometry in Alexandria and copper Kα.
Kinematic intensities with the Lorentz-polarization factor, no thermal factor.

Top 6 peaks for 2θ = 10–80°, in order of falling intensity:
- 25.68 deg, intensity 100
- 17.43 deg, intensity 83
- 29.74 deg, intensity 70
- 41.71 deg, intensity 67
- 35.97 deg, intensity 44
- 39.07 deg, intensity 40

Atomic structure:
abc: 7.680 7.680 7.680
angles: 156.37 97.05 87.77
Fractional positions:
1 La 0.000 0.000 0.000
2 La 0.320 0.320 0.000
3 La 0.680 0.680 0.000
4 B 0.029 0.786 0.243
5 B 0.082 0.368 0.714
6 B 0.347 0.632 0.714
7 B 0.458 0.214 0.243
8 B 0.500 0.000 0.500
9 B 0.542 0.786 0.757
10 B 0.653 0.368 0.286
11 B 0.918 0.632 0.286
12 B 0.971 0.214 0.757
13 C 0.226 0.500 0.726
14 C 0.774 0.500 0.274

---

No. 2
Diffraction record for Er3Bi2Pb. The powder X-ray diffraction pattern is computed, not measured: it uses the GGA-PBE geometry in Alexandria and copper Kα.
Kinematic intensities with the Lorentz-polarization factor, no thermal factor.

Top 6 peaks for 2θ = 10–80°, in order of falling intensity:
- 28.44 deg, intensity 100
- 40.65 deg, intensity 78
- 50.35 deg, intensity 28
- 73.97 deg, intensity 28
- 66.60 deg, intensity 25
- 66.66 deg, intensity 12

Atomic structure:
abc: 9.935 9.935 9.935
angles: 154.20 154.20 36.81
Fractional positions:
1 Er 0.000 0.000 0.000
2 Er 0.334 0.334 0.000
3 Er 0.666 0.666 0.000
4 Bi 0.168 0.168 0.000
5 Bi 0.832 0.832 0.000
6 Pb 0.500 0.500 0.000

---

No. 3
Diffraction record for Sm2PtSe. The powder X-ray diffraction pattern is computed, not measured: it uses the GGA-PBE geometry in Alexandria and copper Kα.
Kinematic intensities with the Lorentz-polarization factor, no thermal factor.

Top 6 peaks for 2θ = 10–80°, in order of falling intensity:
- 30.08 deg, intensity 100
- 43.04 deg, intensity 50
- 70.91 deg, intensity 22
- 54.27 deg, intensity 13
- 52.55 deg, intensity 13
- 44.07 deg, intensity 12

Atomic structure:
abc: 4.109 5.948 8.594
angles: 90.00 90.00 90.00
Fractional positions:
1 Sm 0.250 0.250 0.121
2 Sm 0.250 0.250 0.650
3 Sm 0.750 0.750 0.350
4 Sm 0.750 0.750 0.879
5 Pt 0.250 0.750 0.117
6 Pt 0.750 0.250 0.883
7 Se 0.250 0.750 0.608
8 Se 0.750 0.250 0.392

---

No. 4
Diffraction record for Pm6Te5Pd. The powder X-ray diffraction pattern is computed, not measured: it uses the GGA-PBE geometry in Alexandria and copper Kα.
Kinematic intensities with the Lorentz-polarization factor, no thermal factor.

Top 6 peaks for 2θ = 10–80°, in order of falling intensity:
- 28.46 deg, intensity 100
- 40.67 deg, intensity 62
- 50.36 deg, intensity 19
- 74.06 deg, intensity 13
- 40.77 deg, intensity 12
- 66.80 deg, intensity 10

Atomic structure:
abc: 7.685 7.685 7.676
angles: 99.71 99.71 119.88
Fractional positions:
1 Pm 0.075 0.389 0.233
2 Pm 0.233 0.233 0.754
3 Pm 0.389 0.075 0.233
4 Pm 0.611 0.925 0.767
5 Pm 0.767 0.767 0.246
6 Pm 0.925 0.611 0.767
7 Te 0.178 0.822 0.500
8 Te 0.336 0.664 0.000
9 Te 0.500 0.500 0.500
10 Te 0.664 0.336 0.000
11 Te 0.822 0.178 0.500
12 Pd 0.000 0.000 0.000

---

No. 5
Diffraction record for Mg3In3Rh. The powder X-ray diffraction pattern is computed, not measured: it uses the GGA-PBE geometry in Alexandria and copper Kα.
Kinematic intensities with the Lorentz-polarization factor, no thermal factor.

Top 6 peaks for 2θ = 10–80°, in order of falling intensity:
- 37.13 deg, intensity 100
- 23.23 deg, intensity 74
- 30.89 deg, intensity 56
- 40.86 deg, intensity 41
- 59.09 deg, intensity 33
- 47.49 deg, intensity 28

Atomic structure:
abc: 8.835 8.835 4.428
angles: 90.00 90.00 120.00
Fractional positions:
1 Mg 0.115 0.558 0.250
2 Mg 0.442 0.558 0.250
3 Mg 0.442 0.885 0.250
4 Mg 0.558 0.115 0.750
5 Mg 0.558 0.442 0.750
6 Mg 0.885 0.442 0.750
7 In 0.149 0.299 0.750
8 In 0.149 0.851 0.750
9 In 0.299 0.149 0.250
10 In 0.701 0.851 0.750
11 In 0.851 0.149 0.250
12 In 0.851 0.701 0.250
13 Rh 0.333 0.667 0.750
14 Rh 0.667 0.333 0.250

---

No. 6
Diffraction record for NbV5. The powder X-ray diffraction pattern is computed, not measured: it uses the GGA-PBE geometry in Alexandria and copper Kα.
Kinematic intensities with the Lorentz-polarization factor, no thermal factor.

Top 6 peaks for 2θ = 10–80°, in order of falling intensity:
- 41.67 deg, intensity 100
- 41.81 deg, intensity 99
- 76.12 deg, intensity 44
- 60.50 deg, intensity 31
- 76.44 deg, intensity 14
- 29.18 deg, intensity 12

Atomic structure:
abc: 4.335 4.335 5.284
angles: 90.00 90.00 120.00
Fractional positions:
1 Nb 0.000 0.000 0.000
2 V 0.000 0.000 0.500
3 V 0.333 0.667 0.178
4 V 0.333 0.667 0.654
5 V 0.667 0.333 0.346
6 V 0.667 0.333 0.822

---

No. 7
Diffraction record for BaThUN3. The powder X-ray diffraction pattern is computed, not measured: it uses the GGA-PBE geometry in Alexandria and copper Kα.
Kinematic intensities with the Lorentz-polarization factor, no thermal factor.

Top 6 peaks for 2θ = 10–80°, in order of falling intensity:
- 13.58 deg, intensity 100
- 30.99 deg, intensity 65
- 32.73 deg, intensity 58
- 27.35 deg, intensity 52
- 28.70 deg, intensity 24
- 48.18 deg, intensity 24

Atomic structure:
abc: 8.018 3.803 9.021
angles: 90.00 100.73 90.00
Fractional positions:
1 Ba 0.175 0.250 0.160
2 Ba 0.825 0.750 0.840
3 Th 0.368 0.750 0.848
4 Th 0.632 0.250 0.152
5 U 0.063 0.250 0.592
6 U 0.937 0.750 0.408
7 N 0.140 0.250 0.831
8 N 0.206 0.750 0.583
9 N 0.433 0.750 0.112
10 N 0.567 0.250 0.888
11 N 0.794 0.250 0.417
12 N 0.860 0.750 0.169

---

No. 8
Diffraction record for PuH7Rh5. The powder X-ray diffraction pattern is computed, not measured: it uses the GGA-PBE geometry in Alexandria and copper Kα.
Kinematic intensities with the Lorentz-polarization factor, no thermal factor.

Top 6 peaks for 2θ = 10–80°, in order of falling intensity:
- 35.54 deg, intensity 100
- 43.33 deg, intensity 40
- 39.44 deg, intensity 27
- 32.64 deg, intensity 26
- 38.25 deg, intensity 17
- 40.87 deg, intensity 13

Atomic structure:
abc: 5.342 5.342 5.222
angles: 103.14 103.14 116.73
Fractional positions:
1 Pu 0.000 0.000 0.000
2 H 0.015 0.529 0.991
3 H 0.093 0.471 0.422
4 H 0.119 0.119 0.605
5 H 0.471 0.093 0.422
6 H 0.529 0.015 0.991
7 H 0.539 0.539 0.942
8 H 0.676 0.676 0.410
9 Rh 0.289 0.885 0.632
10 Rh 0.425 0.743 0.153
11 Rh 0.442 0.442 0.556
12 Rh 0.743 0.425 0.153
13 Rh 0.885 0.289 0.632

---

No. 9
Diffraction record for Au2I6Br. The powder X-ray diffraction pattern is computed, not measured: it uses the GGA-PBE geometry in Alexandria and copper Kα.
Kinematic intensities with the Lorentz-polarization factor, no thermal factor.

Top 6 peaks for 2θ = 10–80°, in order of falling intensity:
- 21.47 deg, intensity 100
- 13.55 deg, intensity 52
- 17.71 deg, intensity 50
- 29.48 deg, intensity 46
- 23.40 deg, intensity 37
- 32.23 deg, intensity 33

Atomic structure:
abc: 5.062 9.097 9.192
angles: 91.82 98.35 90.35
Fractional positions:
1 Au 0.114 0.361 0.343
2 Au 0.886 0.639 0.657
3 I 0.099 0.068 0.299
4 I 0.130 0.656 0.403
5 I 0.386 0.404 0.113
6 I 0.614 0.596 0.887
7 I 0.870 0.344 0.597
8 I 0.901 0.932 0.701
9 Br 0.000 0.000 0.000

---

No. 10
Diffraction record for Ho2Ga9Au. The powder X-ray diffraction pattern is computed, not measured: it uses the GGA-PBE geometry in Alexandria and copper Kα.
Kinematic intensities with the Lorentz-polarization factor, no thermal factor.

Top 6 peaks for 2θ = 10–80°, in order of falling intensity:
- 36.75 deg, intensity 100
- 42.17 deg, intensity 35
- 73.52 deg, intensity 26
- 62.37 deg, intensity 19
- 43.73 deg, intensity 14
- 20.72 deg, intensity 14

Atomic structure:
abc: 4.286 4.286 12.420
angles: 90.00 90.00 90.00
Fractional positions:
1 Ho 0.000 0.000 0.172
2 Ho 0.000 0.000 0.828
3 Ga 0.000 0.500 0.000
4 Ga 0.000 0.500 0.349
5 Ga 0.000 0.500 0.651
6 Ga 0.500 0.000 0.000
7 Ga 0.500 0.000 0.349
8 Ga 0.500 0.000 0.651
9 Ga 0.500 0.500 0.161
10 Ga 0.500 0.500 0.500
11 Ga 0.500 0.500 0.839
12 Au 0.000 0.000 0.500

---

No. 11
Diffraction record for P2Pb2Se5. The powder X-ray diffraction pattern is computed, not measured: it uses the GGA-PBE geometry in Alexandria and copper Kα.
Kinematic intensities with the Lorentz-polarization factor, no thermal factor.

Top 6 peaks for 2θ = 10–80°, in order of falling intensity:
- 30.71 deg, intensity 100
- 46.21 deg, intensity 40
- 41.67 deg, intensity 28
- 56.52 deg, intensity 18
- 28.28 deg, intensity 16
- 37.54 deg, intensity 16

Atomic structure:
abc: 3.928 3.928 16.873
angles: 90.00 90.00 120.00
Fractional positions:
1 P 0.000 0.000 0.167
2 P 0.000 0.000 0.833
3 Pb 0.333 0.667 0.619
4 Pb 0.667 0.333 0.381
5 Se 0.000 0.000 0.500
6 Se 0.333 0.667 0.261
7 Se 0.333 0.667 0.908
8 Se 0.667 0.333 0.092
9 Se 0.667 0.333 0.739

---

No. 12
Diffraction record for La2PmUO8. The powder X-ray diffraction pattern is computed, not measured: it uses the GGA-PBE geometry in Alexandria and copper Kα.
Kinematic intensities with the Lorentz-polarization factor, no thermal factor.

Top 6 peaks for 2θ = 10–80°, in order of falling intensity:
- 27.43 deg, intensity 100
- 28.00 deg, intensity 94
- 45.96 deg, intensity 68
- 32.24 deg, intensity 42
- 54.28 deg, intensity 30
- 55.25 deg, intensity 29

Atomic structure:
abc: 3.987 5.616 7.739
angles: 90.00 90.00 90.00
Fractional positions:
1 La 0.000 0.000 0.247
2 La 0.000 0.000 0.753
3 Pm 0.500 0.500 0.500
4 U 0.500 0.500 0.000
5 O 0.000 0.253 0.500
6 O 0.000 0.281 0.000
7 O 0.000 0.719 0.000
8 O 0.000 0.747 0.500
9 O 0.500 0.269 0.220
10 O 0.500 0.269 0.780
11 O 0.500 0.731 0.220
12 O 0.500 0.731 0.780

---

No. 13
Diffraction record for RbSrCuO2. The powder X-ray diffraction pattern is computed, not measured: it uses the GGA-PBE geometry in Alexandria and copper Kα.
Kinematic intensities with the Lorentz-polarization factor, no thermal factor.

Top 6 peaks for 2θ = 10–80°, in order of falling intensity:
- 33.39 deg, intensity 100
- 29.78 deg, intensity 33
- 21.92 deg, intensity 28
- 44.69 deg, intensity 26
- 14.76 deg, intensity 23
- 32.55 deg, intensity 20

Atomic structure:
abc: 6.001 5.501 7.158
angles: 90.00 90.20 90.00
Fractional positions:
1 Rb 0.000 0.003 0.250
2 Rb 0.000 0.997 0.750
3 Sr 0.500 0.499 0.750
4 Sr 0.500 0.501 0.250
5 Cu 0.500 0.000 0.000
6 Cu 0.500 0.000 0.500
7 O 0.316 0.264 0.000
8 O 0.316 0.736 0.500
9 O 0.684 0.264 0.500
10 O 0.684 0.736 0.000

---

No. 14
Diffraction record for NbCdPd6. The powder X-ray diffraction pattern is computed, not measured: it uses the GGA-PBE geometry in Alexandria and copper Kα.
Kinematic intensities with the Lorentz-polarization factor, no thermal factor.

Top 6 peaks for 2θ = 10–80°, in order of falling intensity:
- 38.99 deg, intensity 100
- 45.30 deg, intensity 33
- 66.05 deg, intensity 30
- 79.39 deg, intensity 24
- 45.41 deg, intensity 16
- 79.55 deg, intensity 11

Atomic structure:
abc: 4.004 4.004 7.989
angles: 90.00 90.00 90.00
Fractional positions:
1 Nb 0.000 0.000 0.000
2 Cd 0.000 0.000 0.500
3 Pd 0.000 0.500 0.239
4 Pd 0.000 0.500 0.761
5 Pd 0.500 0.000 0.239
6 Pd 0.500 0.000 0.761
7 Pd 0.500 0.500 0.000
8 Pd 0.500 0.500 0.500